The following is a simulated XRD peak list of TaCr2B6. It was derived from a cell relaxed with PBE, using Cu Kα.
No peak broadening, texture or thermal motion is included.

Structural model:
a b c (Å): 5.2138 5.2138 3.1918
angles (deg): 90.00 90.00 120.00
Space group P6/mmm (No. 191)
One atom of each set of equivalent atoms:
1 Ta 0.0000 0.0000 0.0000 (multiplicity 1)
2 Cr 0.3333 0.6667 0.0000 (multiplicity 2)
3 B 0.0000 0.3380 0.5000 (multiplicity 6)

Main lines, low angle first (10 to 80 degrees two-theta):
- 19.66 deg, rel. 59, (1 0 0)
- 27.95 deg, rel. 31, (0 0 1)
- 34.40 deg, rel. 100, (1 1 0)
- 39.93 deg, rel. 11, (2 0 0)
- 44.89 deg, rel. 89, (1 1 1)
- 49.45 deg, rel. 12, (2 0 1)
- 53.71 deg, rel. 9, (2 1 0)
- 57.77 deg, rel. 8, (0 0 2)
- 61.63 deg, rel. 38, (3 0 0)
- 68.99 deg, rel. 33, (1 1 2)
- 72.53 deg, rel. 12, (2 2 0)
- 79.41 deg, rel. 16, (2 2 1)

***

The following is a simulated XRD peak list of Cr3Tc3B4. It was derived from a cell relaxed with PBE, using Cu Kα.
No peak broadening, texture or thermal motion is included.

Structural model:
a b c (Å): 2.967 8.132 8.252
angles (deg): 90.00 90.00 90.00
Space group Amm2 (No. 38)
One atom of each set of equivalent atoms:
1 Cr 0.000 0.000 0.000 (multiplicity 2)
2 Cr 0.500 0.245 0.076 (multiplicity 4)
3 Tc 0.000 0.000 0.657 (multiplicity 2)
4 Tc 0.000 0.174 0.325 (multiplicity 4)
5 B 0.500 0.000 0.201 (multiplicity 2)
6 B 0.500 0.000 0.445 (multiplicity 2)
7 B 0.500 0.113 0.835 (multiplicity 4)

Main lines, low angle first (10 to 80 degrees two-theta):
- 30.12 deg, rel. 33, (1 0 0)
- 34.42 deg, rel. 51, (0 1 3)
- 34.84 deg, rel. 65, (0 3 1)
- 37.33 deg, rel. 37, (1 0 2)
- 43.67 deg, rel. 100, (1 2 2)
- 46.37 deg, rel. 61, (1 1 3)
- 46.70 deg, rel. 72, (1 3 1)
- 49.55 deg, rel. 31, (0 2 4)
- 50.02 deg, rel. 25, (0 4 2)
- 62.61 deg, rel. 20, (2 0 0)
- 74.52 deg, rel. 17, (1 3 5)
- 76.31 deg, rel. 18, (1 0 6)

***

The following is a simulated XRD peak list of CrTc2B2. It was derived from a cell relaxed with PBE, using Cu Kα.
No peak broadening, texture or thermal motion is included.

Structural model:
a b c (Å): 5.878 5.878 2.975
angles (deg): 90.00 90.00 90.00
Space group P4/mbm (No. 127)
One atom of each set of equivalent atoms:
1 Cr 0.000 0.000 0.000 (multiplicity 2)
2 Tc 0.171 0.329 0.500 (multiplicity 4)
3 B 0.119 0.619 0.000 (multiplicity 4)

Main lines, low angle first (10 to 80 degrees two-theta):
- 30.04 deg, rel. 28, (0 0 1)
- 34.11 deg, rel. 89, (2 1 0)
- 37.17 deg, rel. 31, (1 1 1)
- 43.27 deg, rel. 66, (2 0 1)
- 43.55 deg, rel. 15, (2 2 0)
- 46.08 deg, rel. 100, (2 1 1)
- 49.00 deg, rel. 39, (3 1 0)
- 62.44 deg, rel. 14, (0 0 2)
- 65.47 deg, rel. 18, (4 1 0)
- 73.10 deg, rel. 19, (2 1 2)
- 73.69 deg, rel. 25, (4 1 1)
- 75.73 deg, rel. 26, (3 3 1)

***

The following is a simulated XRD peak list of CrTc3B. It was derived from a cell relaxed with PBE, using Cu Kα.
No peak broadening, texture or thermal motion is included.

Structural model:
a b c (Å): 8.886 4.200 7.404
angles (deg): 90.00 113.89 90.00
Space group C2/m (No. 12)
One atom of each set of equivalent atoms:
1 Cr 0.113 0.000 0.439 (multiplicity 4)
2 Tc 0.118 0.000 0.924 (multiplicity 4)
3 Tc 0.136 0.500 0.234 (multiplicity 4)
4 Tc 0.140 0.500 0.656 (multiplicity 4)
5 B 0.122 0.500 0.935 (multiplicity 4)

Main lines, low angle first (10 to 80 degrees two-theta):
- 29.40 deg, rel. 13, (1 1 1)
- 36.91 deg, rel. 21, (2 0 -3)
- 39.12 deg, rel. 100, (1 1 2)
- 39.48 deg, rel. 96, (3 1 -2)
- 43.07 deg, rel. 49, (0 2 0)
- 44.61 deg, rel. 40, (4 0 0)
- 49.23 deg, rel. 17, (2 0 -4)
- 57.99 deg, rel. 11, (2 2 -3)
- 63.74 deg, rel. 27, (4 2 0)
- 67.45 deg, rel. 13, (2 2 -4)
- 76.30 deg, rel. 13, (1 3 2)
- 76.54 deg, rel. 14, (3 3 -2)

***

- What is the formula in the second record?
  Cr3Tc3B4